Theoretical powder X-ray diffraction pattern of Pm6Tl6In for copper Kα, from a crystal structure in Alexandria, relaxed with GGA-PBE.

Atomic structure:
```
data_Pm6Tl6In
_cell_length_a 6.5959
_cell_length_b 6.5959
_cell_length_c 10.6900
_cell_angle_alpha 90.00
_cell_angle_beta 90.00
_cell_angle_gamma 120.00
_space_group_name_H-M_alt 'P 6/m m m'
_space_group_IT_number 191
_space_group_name_Hall '-P 6 2'
loop_
_atom_site_label
_atom_site_fract_x
_atom_site_fract_y
_atom_site_fract_z
Pm1 0.0000 0.0000 0.1922
Pm2 0.3333 0.6667 0.0000
Pm3 0.3333 0.6667 0.5000
Tl1 0.0000 0.5000 0.2493
In1 0.0000 0.0000 0.5000
```

Largest 12 diffraction maxima, sorted by position, 10 to 90 degrees two-theta:
Position (°2θ), I/Imax
16.59, 21
27.04, 15
31.32, 48
31.89, 41
33.53, 29
35.64, 100
37.14, 15
46.54, 21
55.75, 27
58.92, 15
66.64, 24
67.94, 16

---

Theoretical powder X-ray diffraction pattern of SiGe4S6 for copper Kα, from a crystal structure in Alexandria, relaxed with GGA-PBE.

Atomic structure:
```
data_SiGe4S6
_cell_length_a 14.746
_cell_length_b 6.711
_cell_length_c 12.532
_cell_angle_alpha 90.00
_cell_angle_beta 110.16
_cell_angle_gamma 90.00
_space_group_name_H-M_alt 'C 1 c 1'
_space_group_IT_number 9
loop_
_space_group_symop_operation_xyz
'x,y,z'
'x,-y,z+1/2'
'x+1/2,y+1/2,z'
'x+1/2,-y+1/2,z+1/2'
loop_
_atom_site_label
_atom_site_fract_x
_atom_site_fract_y
_atom_site_fract_z
Si1 0.000 0.231 0.000
Ge1 0.054 0.104 0.778
Ge2 0.170 0.448 0.201
Ge3 0.221 0.113 0.504
Ge4 0.425 0.232 0.930
S1 0.066 0.223 0.375
S2 0.152 0.234 0.025
S3 0.236 0.252 0.677
S4 0.416 0.268 0.325
S5 0.444 0.497 0.077
S6 0.490 0.003 0.592
```

Largest 12 diffraction maxima, sorted by position, 10 to 90 degrees two-theta:
Position (°2θ), I/Imax
12.79, 73
19.42, 89
22.44, 49
22.97, 47
23.99, 100
24.95, 42
25.74, 41
27.65, 32
28.95, 34
30.68, 45
31.20, 54
31.71, 55

---

Theoretical powder X-ray diffraction pattern of KYSn for copper Kα, from a crystal structure in Alexandria, relaxed with GGA-PBE.

Atomic structure:
```
data_KYSn
_cell_length_a 3.832
_cell_length_b 4.736
_cell_length_c 14.101
_cell_angle_alpha 80.52
_cell_angle_beta 82.35
_cell_angle_gamma 90.00
_space_group_name_H-M_alt 'P 1'
_space_group_IT_number 1
loop_
_space_group_symop_operation_xyz
'x,y,z'
loop_
_atom_site_label
_atom_site_fract_x
_atom_site_fract_y
_atom_site_fract_z
K1 0.000 0.000 0.000
K2 0.354 0.362 0.284
Y1 0.219 0.716 0.560
Y2 0.634 0.130 0.734
Sn1 0.105 0.601 0.794
Sn2 0.746 0.243 0.504
```

Largest 12 diffraction maxima, sorted by position, 10 to 90 degrees two-theta:
Position (°2θ), I/Imax
19.32, 15
21.10, 16
25.86, 47
29.99, 49
30.70, 100
34.83, 15
34.94, 15
35.90, 37
38.00, 28
39.98, 18
47.45, 15
62.31, 17

---

Theoretical powder X-ray diffraction pattern of CdSiPt4 for copper Kα, from a crystal structure in Alexandria, relaxed with GGA-PBE.

Atomic structure:
```
data_CdSiPt4
_cell_length_a 3.906
_cell_length_b 3.906
_cell_length_c 7.135
_cell_angle_alpha 90.00
_cell_angle_beta 90.00
_cell_angle_gamma 90.00
_space_group_name_H-M_alt 'P 4/m m m'
_space_group_IT_number 123
_space_group_name_Hall '-P 4 2'
loop_
_atom_site_label
_atom_site_fract_x
_atom_site_fract_y
_atom_site_fract_z
Cd1 0.000 0.000 0.000
Si1 0.500 0.500 0.500
Pt1 0.000 0.500 0.291
```

Largest 12 diffraction maxima, sorted by position, 10 to 90 degrees two-theta:
Position (°2θ), I/Imax
24.96, 39
32.42, 57
34.83, 19
37.83, 19
41.34, 100
46.50, 45
50.65, 17
53.49, 20
61.44, 18
67.88, 15
74.91, 18
82.68, 27

---

Theoretical powder X-ray diffraction pattern of La2Dy3Ho4 for copper Kα, from a crystal structure in Alexandria, relaxed with GGA-PBE.

Atomic structure:
```
data_La2Dy3Ho4
_cell_length_a 3.5992
_cell_length_b 3.5992
_cell_length_c 26.4691
_cell_angle_alpha 90.00
_cell_angle_beta 90.00
_cell_angle_gamma 120.00
_space_group_name_H-M_alt 'P 3 m 1'
_space_group_IT_number 156
loop_
_space_group_symop_operation_xyz
'x,y,z'
'-y,x-y,z'
'-x+y,-x,z'
'-y,-x,z'
'-x+y,y,z'
'x,x-y,z'
loop_
_atom_site_label
_atom_site_fract_x
_atom_site_fract_y
_atom_site_fract_z
La1 0.0000 0.0000 0.0000
La2 0.0000 0.0000 0.2258
Dy1 0.0000 0.0000 0.7813
Dy2 0.3333 0.6667 0.1155
Dy3 0.3333 0.6667 0.4627
Ho1 0.0000 0.0000 0.3583
Ho2 0.0000 0.0000 0.5695
Ho3 0.3333 0.6667 0.6749
Ho4 0.3333 0.6667 0.8873
```

Largest 12 diffraction maxima, sorted by position, 10 to 90 degrees two-theta:
Position (°2θ), I/Imax
28.64, 41
30.40, 46
31.73, 48
33.36, 100
42.25, 23
50.73, 35
56.97, 28
60.29, 36
61.09, 7
62.08, 17
79.74, 11
84.19, 15

---

Theoretical powder X-ray diffraction pattern of Tm3Ge13Ru4 for copper Kα, from a crystal structure in Alexandria, relaxed with GGA-PBE.

Atomic structure:
```
data_Tm3Ge13Ru4
_cell_length_a 9.005
_cell_length_b 9.005
_cell_length_c 9.005
_cell_angle_alpha 90.00
_cell_angle_beta 90.00
_cell_angle_gamma 90.00
_space_group_name_H-M_alt 'P m -3 n'
_space_group_IT_number 223
_space_group_name_Hall '-P 4n 2 3'
loop_
_atom_site_label
_atom_site_fract_x
_atom_site_fract_y
_atom_site_fract_z
Tm1 0.000 0.250 0.500
Ge1 0.000 0.000 0.000
Ge2 0.000 0.303 0.147
Ru1 0.250 0.250 0.250
```

Largest 12 diffraction maxima, sorted by position, 10 to 90 degrees two-theta:
Position (°2θ), I/Imax
22.07, 17
34.50, 23
35.96, 100
37.37, 39
40.05, 33
41.34, 10
49.60, 18
54.91, 10
57.93, 10
59.89, 13
63.71, 15
69.21, 21